For NaTi4O8, a DFT-relaxed cell (GGA-PBE, the Materials Project) gives the simulated PXRD pattern in this record (a wavelength of 1.5418 Å).
Kinematic intensities with the Lorentz-polarization factor, no thermal factor.

Crystal structure
```
data_NaTi4O8
_space_group_name_H-M_alt 'P 1'
_space_group_IT_number 1
_cell_length_a 5.938
_cell_length_b 11.311
_cell_length_c 11.352
_cell_angle_alpha 90.00
_cell_angle_beta 121.32
_cell_angle_gamma 90.00
loop_
_space_group_symop_operation_xyz
'x,y,z'
loop_
_atom_site_label
_atom_site_type_symbol
_atom_site_fract_x
_atom_site_fract_y
_atom_site_fract_z
Na1 Na 0.249 0.074 0.401
Na2 Na 0.249 0.426 0.901
Na3 Na 0.751 0.574 0.099
Na4 Na 0.751 0.926 0.599
Ti1 Ti 0.106 0.625 0.484
Ti2 Ti 0.106 0.875 0.984
Ti3 Ti 0.132 0.670 0.757
Ti4 Ti 0.132 0.830 0.257
Ti5 Ti 0.361 0.154 0.735
Ti6 Ti 0.361 0.346 0.235
Ti7 Ti 0.393 0.123 0.021
Ti8 Ti 0.393 0.377 0.521
Ti9 Ti 0.607 0.623 0.479
Ti10 Ti 0.607 0.877 0.979
Ti11 Ti 0.639 0.654 0.765
Ti12 Ti 0.639 0.846 0.265
Ti13 Ti 0.868 0.170 0.743
Ti14 Ti 0.868 0.330 0.243
Ti15 Ti 0.894 0.125 0.016
Ti16 Ti 0.894 0.375 0.516
O1 O 0.025 0.091 0.654
O2 O 0.025 0.409 0.154
O3 O 0.028 0.042 0.902
O4 O 0.028 0.458 0.402
O5 O 0.242 0.688 0.370
O6 O 0.242 0.812 0.870
O7 O 0.244 0.231 0.867
O8 O 0.244 0.269 0.367
O9 O 0.249 0.194 0.127
O10 O 0.249 0.306 0.627
O11 O 0.262 0.729 0.636
O12 O 0.262 0.771 0.136
O13 O 0.470 0.592 0.853
O14 O 0.470 0.908 0.353
O15 O 0.473 0.541 0.599
O16 O 0.473 0.959 0.099
O17 O 0.527 0.041 0.901
O18 O 0.527 0.459 0.401
O19 O 0.530 0.092 0.647
O20 O 0.530 0.408 0.147
O21 O 0.738 0.229 0.864
O22 O 0.738 0.271 0.364
O23 O 0.751 0.694 0.373
O24 O 0.751 0.806 0.873
O25 O 0.756 0.731 0.633
O26 O 0.756 0.769 0.133
O27 O 0.758 0.188 0.130
O28 O 0.758 0.312 0.630
O29 O 0.972 0.542 0.598
O30 O 0.972 0.958 0.098
O31 O 0.975 0.591 0.846
O32 O 0.975 0.909 0.346
```

Peak list (10 most intense, 10 to 90 degrees two-theta, by angle)
12.02°, intensity 100; 18.16°, intensity 62; 24.18°, intensity 13; 25.35°, intensity 17; 28.72°, intensity 18; 31.64°, intensity 16; 31.89°, intensity 26; 36.30°, intensity 23; 36.42°, intensity 25; 62.57°, intensity 12